Entry 1:
The following is a computed powder diffractogram of Pr3Nd5As8. It was derived from a structure optimized by DFT (GGA-PBE), using Cu Ka.
Lines closer than 0.1° are merged.

Crystal structure
```
Pr3Nd5As8
1.0
4.286 2.475 7.000
-4.286 2.475 7.000
0.000 -4.949 7.000
Pr Nd As
3 5 8
Cartesian
-2.143 -1.237 7.000 Pr
-2.143 1.237 13.999 Pr
0.000 2.475 7.000 Pr
0.000 0.000 0.000 Nd
-4.286 0.000 10.500 Nd
-2.143 1.237 3.500 Nd
2.143 1.237 3.500 Nd
0.000 0.000 10.500 Nd
0.000 0.000 5.235 As
-2.149 -1.241 12.240 As
0.000 -2.481 8.759 As
-2.149 1.241 8.759 As
2.149 -1.241 12.240 As
0.000 2.481 12.240 As
2.149 1.241 8.759 As
0.000 0.000 15.764 As
```

Main lines, most intense first (10 to 90 degrees two-theta):
| 2θ/deg | I/Imax |
| --- | --- |
| 29.47 | 100 |
| 42.16 | 75 |
| 69.33 | 34 |
| 52.28 | 27 |
| 77.08 | 25 |
| 25.45 | 17 |
| 61.15 | 12 |
| 49.90 | 8 |
| 67.33 | 3 |
| 82.73 | 3 |

Entry 2:
The following is a computed powder diffractogram of Pr2NdTmAs4. It was derived from a structure optimized by DFT (GGA-PBE), using Cu Ka.
Lines closer than 0.1° are merged.

Crystal structure
```
Pr2NdTmAs4
1.0
7.341 0.000 0.000
0.000 4.244 0.000
-2.448 0.000 6.923
Pr Nd Tm As
2 1 1 4
Cartesian
0.000 0.000 0.000 Pr
-1.224 2.122 3.461 Pr
2.446 0.000 3.461 Nd
3.671 2.122 0.000 Tm
1.279 2.122 1.706 As
0.055 0.000 5.256 As
4.838 0.000 1.667 As
3.614 2.122 5.217 As
```

Main lines, most intense first (10 to 90 degrees two-theta):
| 2θ/deg | I/Imax |
| --- | --- |
| 29.80 | 100 |
| 42.64 | 75 |
| 70.18 | 34 |
| 52.89 | 26 |
| 78.06 | 23 |
| 25.73 | 19 |
| 61.89 | 12 |
| 50.47 | 10 |
| 68.15 | 4 |
| 83.82 | 3 |

Entry 3:
The following is a computed powder diffractogram of Pr2Nd3TmAs6. It was derived from a structure optimized by DFT (GGA-PBE), using Cu Ka.
Lines closer than 0.1° are merged.

Crystal structure
```
Pr2Nd3TmAs6
1.0
9.265 -2.127 0.000
9.265 2.127 0.000
-1.956 0.000 8.274
Pr Nd Tm As
2 3 1 6
Cartesian
2.415 0.000 2.742 Pr
14.159 0.000 5.532 Pr
1.469 0.000 6.902 Nd
8.287 0.000 4.137 Nd
15.105 0.000 1.372 Nd
9.265 0.000 0.000 Tm
-1.463 0.000 6.285 As
5.371 0.000 3.438 As
4.442 0.000 7.615 As
12.132 0.000 0.660 As
11.203 0.000 4.836 As
18.037 0.000 1.989 As
```

Main lines, most intense first (10 to 90 degrees two-theta):
| 2θ/deg | I/Imax |
| --- | --- |
| 29.71 | 100 |
| 42.52 | 75 |
| 69.97 | 34 |
| 52.73 | 27 |
| 77.81 | 23 |
| 25.66 | 19 |
| 61.70 | 12 |
| 50.33 | 9 |
| 67.95 | 4 |
| 83.53 | 3 |

Entry 4:
The following is a computed powder diffractogram of Nd2AsPt3. It was derived from a structure optimized by DFT (GGA-PBE), using Cu Ka.
Lines closer than 0.1° are merged.

Crystal structure
```
Nd2AsPt3
1.0
3.879 0.000 0.000
0.000 4.393 0.000
0.000 0.000 7.768
Nd As Pt
2 1 3
Cartesian
0.000 0.000 0.000 Nd
0.000 2.197 3.750 Nd
1.940 2.197 6.318 As
1.940 0.000 2.556 Pt
1.940 0.000 5.242 Pt
1.940 2.197 1.040 Pt
```

Main lines, most intense first (10 to 90 degrees two-theta):
| 2θ/deg | I/Imax |
| --- | --- |
| 32.89 | 100 |
| 40.43 | 60 |
| 32.62 | 47 |
| 63.57 | 32 |
| 41.09 | 31 |
| 53.42 | 23 |
| 22.92 | 22 |
| 46.84 | 21 |
| 64.04 | 17 |
| 52.71 | 13 |

Entry 5:
The following is a computed powder diffractogram of Nd2As3Rh3. It was derived from a structure optimized by DFT (GGA-PBE), using Cu Ka.
Lines closer than 0.1° are merged.

Crystal structure
```
Nd2As3Rh3
1.0
2.946 0.000 0.000
0.000 2.946 0.000
0.000 0.000 20.524
Nd As Rh
2 3 3
Cartesian
0.000 0.000 4.959 Nd
0.000 0.000 15.565 Nd
0.000 0.000 0.000 As
0.000 0.000 7.904 As
0.000 0.000 12.620 As
0.000 0.000 2.333 Rh
0.000 0.000 10.262 Rh
0.000 0.000 18.190 Rh
```

Main lines, most intense first (10 to 90 degrees two-theta):
| 2θ/deg | I/Imax |
| --- | --- |
| 30.34 | 100 |
| 46.96 | 48 |
| 43.44 | 37 |
| 34.98 | 28 |
| 56.94 | 27 |
| 82.26 | 19 |
| 71.62 | 17 |
| 74.24 | 13 |
| 63.11 | 12 |
| 40.41 | 7 |

Entry 6:
The following is a computed powder diffractogram of Nd2SbAsRh6. It was derived from a structure optimized by DFT (GGA-PBE), using Cu Ka.
Lines closer than 0.1° are merged.

Crystal structure
```
Nd2SbAsRh6
1.0
5.505 0.000 0.000
0.000 8.696 0.000
0.000 0.000 8.393
Nd Sb As Rh
4 2 2 12
Cartesian
1.376 0.036 1.846 Nd
1.376 4.312 1.846 Nd
4.129 4.384 6.547 Nd
4.129 8.660 6.547 Nd
1.376 2.174 6.410 Sb
4.129 6.522 1.982 Sb
1.376 6.522 6.264 As
4.129 2.174 2.129 As
0.013 6.522 8.237 Rh
0.030 2.174 4.120 Rh
1.376 4.354 4.929 Rh
1.376 8.690 4.929 Rh
2.723 2.174 4.120 Rh
2.740 6.522 8.237 Rh
2.765 2.174 0.156 Rh
2.782 6.522 4.273 Rh
4.129 0.006 3.463 Rh
4.129 4.342 3.463 Rh
5.475 6.522 4.273 Rh
5.492 2.174 0.156 Rh
```

Main lines, most intense first (10 to 90 degrees two-theta):
| 2θ/deg | I/Imax |
| --- | --- |
| 41.75 | 100 |
| 28.23 | 94 |
| 39.14 | 88 |
| 38.72 | 77 |
| 41.54 | 76 |
| 58.39 | 54 |
| 29.59 | 47 |
| 33.86 | 42 |
| 44.54 | 38 |
| 26.71 | 30 |

Entry 7:
The following is a computed powder diffractogram of NdTh2As2Rh7. It was derived from a structure optimized by DFT (GGA-PBE), using Cu Ka.
Lines closer than 0.1° are merged.

Crystal structure
```
NdTh2As2Rh7
1.0
2.924 -2.889 0.000
2.924 2.889 0.000
-2.019 0.000 13.410
Nd Th As Rh
1 2 2 7
Cartesian
0.000 0.000 0.000 Nd
-0.049 0.000 4.707 Th
3.879 0.000 8.704 Th
0.911 0.000 9.977 As
2.919 0.000 3.433 As
1.461 1.446 2.184 Rh
0.859 0.000 7.554 Rh
2.369 1.446 11.227 Rh
2.924 0.000 0.000 Rh
1.461 -1.446 2.184 Rh
2.971 0.000 5.857 Rh
2.369 -1.446 11.227 Rh
```

Main lines, most intense first (10 to 90 degrees two-theta):
| 2θ/deg | I/Imax |
| --- | --- |
| 44.11 | 100 |
| 37.05 | 76 |
| 35.59 | 45 |
| 36.40 | 37 |
| 34.34 | 31 |
| 30.95 | 24 |
| 27.99 | 23 |
| 31.68 | 21 |
| 37.95 | 19 |
| 75.16 | 18 |

Entry 8:
The following is a computed powder diffractogram of NdAs2Ru. It was derived from a structure optimized by DFT (GGA-PBE), using Cu Ka.
Lines closer than 0.1° are merged.

Crystal structure
```
NdAs2Ru
1.0
4.119 0.000 0.000
0.000 4.119 0.000
0.000 0.000 9.885
Nd As Ru
2 4 2
Cartesian
1.030 1.030 2.318 Nd
3.090 3.090 7.567 Nd
1.030 1.030 6.287 As
1.030 3.090 0.000 As
3.090 1.030 0.000 As
3.090 3.090 3.598 As
1.030 3.090 4.943 Ru
3.090 1.030 4.943 Ru
```

Main lines, most intense first (10 to 90 degrees two-theta):
| 2θ/deg | I/Imax |
| --- | --- |
| 35.78 | 100 |
| 43.96 | 41 |
| 34.87 | 32 |
| 75.47 | 22 |
| 23.40 | 19 |
| 28.20 | 19 |
| 57.30 | 15 |
| 63.92 | 13 |
| 51.26 | 13 |
| 58.32 | 12 |